Diffraction record for MnNi2IO6. The X-ray diffraction stick pattern is simulated, not measured: it uses the PBE+U geometry in Alexandria and Cu Kα (λ = 1.5418 Å).
Lines closer than 0.1° are merged.

Most intense lines, 2θ = 15–90°, low angle first:
- 4.106 Å, intensity 67.4, (1 0 1)
- 3.290 Å, intensity 23.2, (0 0 2)
- 3.236 Å, intensity 100.0, (1 1 1)
- 2.788 Å, intensity 26.6, (1 0 2)
- 2.628 Å, intensity 39.1, (2 0 0)
- 2.213 Å, intensity 20.2, (2 1 1)
- 1.912 Å, intensity 17.1, (2 1 2)
- 1.889 Å, intensity 16.0, (1 1 3)
- 1.858 Å, intensity 27.3, (2 2 0)
- 1.611 Å, intensity 24.3, (3 1 1)

Structure:
```
MnNi2IO6
1.0
5.2557 0.0000 0.0000
0.0000 5.2557 0.0000
0.0000 0.0000 6.5791
Mn Ni I O
1 2 1 6
direct
0.0000 0.0000 0.0000 Mn
0.0000 0.5000 0.1279 Ni
0.5000 0.0000 0.1279 Ni
0.5000 0.5000 0.7246 I
0.0000 0.0000 0.7550 O
0.2315 0.2315 0.0902 O
0.2315 0.7685 0.0902 O
0.5000 0.5000 0.4402 O
0.7685 0.2315 0.0902 O
0.7685 0.7685 0.0902 O
```